Starting from a GGA-PBE-relaxed structure, the powder diffraction line list of Ce6Sb3AsSe2 was simulated for copper Kα.
Neutral-atom scattering factors, no anomalous dispersion.

Structure:
```
Ce6Sb3AsSe2
1.0
9.501 -2.178 0.000
9.501 2.178 0.000
-2.017 0.000 8.474
Ce Sb As Se
6 3 1 2
Direct
0.003 0.003 0.238 Ce
0.330 0.330 0.426 Ce
0.338 0.338 0.910 Ce
0.662 0.662 0.090 Ce
0.670 0.670 0.574 Ce
0.997 0.997 0.762 Ce
0.168 0.168 0.833 Sb
0.500 0.500 0.500 Sb
0.832 0.832 0.167 Sb
0.500 0.500 0.000 As
0.166 0.166 0.333 Se
0.834 0.834 0.667 Se
```

Most intense lines, 2θ from 10° to 90°, in order of rising 2θ:
2theta  I/Imax
25.04  4.9
28.99  100.0
41.46  74.6
51.35  19.5
51.44  6.7
60.07  12.1
68.03  21.3
68.11  11.4
75.57  13.5
75.68  10.4